Entry 1:
Starting from the PBE geometry in Alexandria, the powder XRD pattern of CrRu3 was computed for copper Kα.
Intensities are scaled so that the largest is 100.

Principal peaks in the range 2θ = 10–90°, in order of rising 2θ:
two_theta, I/Imax
38.46, 26
38.65, 13
42.51, 37
44.17, 100
44.34, 48
58.66, 14
69.82, 16
78.95, 17
79.07, 8
84.94, 9
85.29, 18
86.20, 14

Structure:
abc: 2.7069 8.5062 4.6589
angles: 90.00 90.00 90.00
Space group Imm2 (No. 44)
One atom of each set of equivalent atoms:
Cr  0.0000  0.0000  0.0000
Ru  0.0000  0.2539  0.3295
Ru  0.0000  0.5000  0.9915



Entry 2:
Starting from the PBE geometry in Alexandria, the powder XRD pattern of Fe2ReBr8 was computed for copper Kα.
Intensities are scaled so that the largest is 100.

Principal peaks in the range 2θ = 10–90°, in order of rising 2θ:
two_theta, I/Imax
11.61, 100
18.31, 31
19.09, 19
19.35, 16
26.27, 9
27.56, 53
30.23, 25
37.48, 16
38.75, 14
41.77, 17
45.26, 26
49.82, 13

Structure:
abc: 13.3214 9.2960 6.2264
angles: 90.00 90.95 90.00
Space group C2/m (No. 12)
One atom of each set of equivalent atoms:
Fe  0.1664  0.0000  0.3802
Re  0.0000  0.0000  0.0000
Br  0.0755  0.2031  0.2298
Br  0.1603  0.0000  0.7761
Br  0.1636  0.5000  0.6830